Record 1
This entry pairs a crystal structure of Pr16Dy7Y6 with its theoretical powder X-ray diffraction pattern. Radiation: a wavelength of 1.5418 Å. Structure: a crystal structure in Alexandria, relaxed with GGA-PBE.
Peak positions follow from Bragg's law for the DFT cell and can differ from measured ones.

Main lines, by angle (2θ from 10° to 90°):
- d = 3.100 Å, rel. 9
- d = 2.847 Å, rel. 100
- d = 2.722 Å, rel. 7
- d = 2.013 Å, rel. 14
- d = 1.644 Å, rel. 27
- d = 1.424 Å, rel. 7

Atomic structure:
Cell lengths 11.3886, 11.3886, 11.3886 Å; angles 60.00, 60.00, 60.00 degrees
Positions (direct):
Pr1 0.0496 0.6501 0.6501
Pr2 0.1245 0.1245 0.1245
Pr3 0.1245 0.1245 0.6266
Pr4 0.1245 0.6266 0.1245
Pr5 0.3499 0.3499 0.3499
Pr6 0.3499 0.3499 0.9504
Pr7 0.3499 0.9504 0.3499
Pr8 0.3734 0.8755 0.8755
Pr9 0.6266 0.1245 0.1245
Pr10 0.6501 0.0496 0.6501
Pr11 0.6501 0.6501 0.0496
Pr12 0.6501 0.6501 0.6501
Pr13 0.8755 0.3734 0.8755
Pr14 0.8755 0.8755 0.3734
Pr15 0.8755 0.8755 0.8755
Pr16 0.9504 0.3499 0.3499
Dy1 0.0000 0.0000 0.0000
Dy2 0.0000 0.0000 0.5000
Dy3 0.0000 0.5000 0.0000
Dy4 0.0000 0.5000 0.5000
Dy5 0.5000 0.0000 0.0000
Dy6 0.5000 0.0000 0.5000
Dy7 0.5000 0.5000 0.0000
Y1 0.2682 0.2682 0.7318
Y2 0.2682 0.7318 0.2682
Y3 0.2682 0.7318 0.7318
Y4 0.7318 0.2682 0.2682
Y5 0.7318 0.2682 0.7318
Y6 0.7318 0.7318 0.2682


Record 2
This entry pairs a crystal structure of Pr7Dy2Y with its theoretical powder X-ray diffraction pattern. Radiation: a wavelength of 1.5418 Å. Structure: a crystal structure in Alexandria, relaxed with GGA-PBE.
Peak positions follow from Bragg's law for the DFT cell and can differ from measured ones.

Main lines, by angle (2θ from 10° to 90°):
- d = 5.741 Å, rel. 70
- d = 2.929 Å, rel. 36
- d = 2.870 Å, rel. 60
- d = 2.719 Å, rel. 100
- d = 2.676 Å, rel. 81
- d = 2.611 Å, rel. 32

Atomic structure:
Cell lengths 9.3589, 9.3589, 5.7406 Å; angles 90.00, 90.00, 123.02 degrees
Positions (direct):
Pr1 0.0000 0.0000 0.0000
Pr2 0.1087 0.8913 0.5000
Pr3 0.2083 0.4195 0.0000
Pr4 0.4195 0.2083 0.0000
Pr5 0.5805 0.7917 0.0000
Pr6 0.7917 0.5805 0.0000
Pr7 0.8913 0.1087 0.5000
Dy1 0.2212 0.7788 0.0000
Dy2 0.7788 0.2212 0.0000
Y1 0.5000 0.5000 0.5000